Diffraction record for PaGaCo2O8. The X-ray powder pattern is calculated, not measured: it uses a structure optimized by DFT (PBE+U) and Cu Kα, 1.54184 Å.

Structural model:
Cell: 5.797 5.797 5.797 Å, 108.85 108.85 110.72°
Element x y z (fractional)
Pa1 0.000 0.000 0.000
Ga1 0.250 0.750 0.500
Co1 0.500 0.500 0.000
Co2 0.750 0.250 0.500
O1 0.316 0.113 0.796
O2 0.316 0.520 0.204
O3 0.376 0.069 0.308
O4 0.480 0.684 0.796
O5 0.761 0.069 0.692
O6 0.887 0.684 0.204
O7 0.931 0.239 0.308
O8 0.931 0.624 0.692

Main lines, sorted by position (15 to 90 degrees two-theta):
2θ/deg, I (rel.)
18.6, 25
18.8, 61
26.4, 100
32.6, 23
33.0, 91
37.7, 21
51.0, 67
54.4, 17
62.8, 16
65.2, 18